This entry pairs a crystal structure of SrNi3P4O14 with its simulated X-ray diffraction stick pattern. Radiation: Cu Kα, 1.54184 Å. Structure: a DFT-relaxed cell (PBE+U, Alexandria).
Kinematic intensities with the Lorentz-polarization factor, no thermal factor.

Cell and atoms:
```
SrNi3P4O14
1.0
7.5082 0.0000 0.0000
0.0000 7.7603 0.0000
-3.6096 0.0000 8.8342
Sr Ni P O
2 6 8 28
Direct
0.0000 0.0000 0.0000 Sr
0.0000 0.5000 0.5000 Sr
0.3152 0.1262 0.4750 Ni
0.3152 0.3738 0.9750 Ni
0.5000 0.0000 0.0000 Ni
0.5000 0.5000 0.5000 Ni
0.6848 0.6262 0.0250 Ni
0.6848 0.8738 0.5250 Ni
0.1037 0.0584 0.7013 P
0.1037 0.4416 0.2013 P
0.3892 0.7031 0.1936 P
0.3892 0.7969 0.6936 P
0.6108 0.2031 0.3064 P
0.6108 0.2969 0.8064 P
0.8963 0.5584 0.7987 P
0.8963 0.9416 0.2987 P
0.0994 0.5189 0.8071 O
0.0994 0.9811 0.3071 O
0.1250 0.1808 0.5840 O
0.1250 0.3192 0.0840 O
0.1821 0.6285 0.1769 O
0.1821 0.8715 0.6769 O
0.2313 0.1163 0.8658 O
0.2313 0.3837 0.3658 O
0.3452 0.6243 0.6116 O
0.3452 0.8757 0.1116 O
0.4742 0.5752 0.1126 O
0.4742 0.9248 0.6126 O
0.4985 0.7097 0.3657 O
0.4985 0.7903 0.8657 O
0.5015 0.2097 0.1343 O
0.5015 0.2903 0.6343 O
0.5258 0.0752 0.3874 O
0.5258 0.4248 0.8874 O
0.6548 0.1243 0.8884 O
0.6548 0.3757 0.3884 O
0.7687 0.6163 0.6342 O
0.7687 0.8837 0.1342 O
0.8179 0.1285 0.3231 O
0.8179 0.3715 0.8231 O
0.8750 0.6808 0.9160 O
0.8750 0.8192 0.4160 O
0.9006 0.0189 0.6929 O
0.9006 0.4811 0.1929 O
```

Most intense lines, 10° ≤ 2θ ≤ 90°, most intense first:
| index | d_spacing | 2θ (°) | I/Imax |
| --- | --- | --- | --- |
| 2 1 1 | 2.703 | 33.15 | 100 |
| 1 1 2 | 2.970 | 30.08 | 99 |
| 1 2 0 | 3.384 | 26.34 | 98 |
| 1 2 1 | 2.985 | 29.94 | 98 |
| 2 1 -2 | 3.141 | 28.42 | 82 |
| 0 3 1 | 2.482 | 36.19 | 79 |
| 2 1 -3 | 2.665 | 33.63 | 73 |
| 0 0 2 | 4.417 | 20.10 | 68 |